Starting from a structure optimized by DFT (PBE), the powder diffractogram of Cu2SiPtCl was simulated for Cu Kα.
Kinematic intensities with the Lorentz-polarization factor, no thermal factor.

Crystal structure
```
Cu2SiPtCl
1.0
4.183 0.000 0.000
0.000 4.183 0.000
0.000 0.000 5.062
Cu Si Pt Cl
2 1 1 1
Direct
0.000 0.500 0.000
0.500 0.000 0.000
0.000 0.000 0.500
0.500 0.500 0.500
0.000 0.000 0.000
```

Most intense lines, 2θ = 10–90°, most intense first:
2θ 35.14, rel. 1000, (1 1 1)
2θ 27.67, rel. 703, (1 0 1)
2θ 43.26, rel. 411, (2 0 0)
2θ 35.47, rel. 363, (0 0 2)
2θ 57.13, rel. 352, (2 0 2)
2θ 21.24, rel. 249, (1 0 0)
2θ 52.13, rel. 243, (2 1 1)
2θ 74.09, rel. 223, (3 1 1)